Calculated X-ray diffraction stick pattern of CrP4O12 for a wavelength of 1.5418 Å, from the PBE+U geometry in the Materials Project.
Lines closer than 0.1° are merged.

```
data_CrP4O12
_cell_length_a 16.828
_cell_length_b 12.293
_cell_length_c 5.154
_cell_angle_alpha 90.00
_cell_angle_beta 98.39
_cell_angle_gamma 90.00
_space_group_name_H-M_alt 'C 1 2/m 1'
_space_group_IT_number 12
loop_
_space_group_symop_operation_xyz
'x,y,z'
'-x,-y,-z'
'-x,y,-z'
'x,-y,z'
'x+1/2,y+1/2,z'
'-x+1/2,-y+1/2,-z'
'-x+1/2,y+1/2,-z'
'x+1/2,-y+1/2,z'
loop_
_atom_site_label
_atom_site_type_symbol
_atom_site_fract_x
_atom_site_fract_y
_atom_site_fract_z
Cr1 Cr 0.250 0.250 0.000
P1 P 0.075 0.212 0.185
P2 P 0.180 0.378 0.471
O1 O 0.000 0.267 0.000
O2 O 0.053 0.114 0.330
O3 O 0.098 0.315 0.379
O4 O 0.141 0.196 0.015
O5 O 0.150 0.500 0.401
O6 O 0.202 0.370 0.764
O7 O 0.244 0.346 0.309
```

Main lines, low angle first (10 to 80 degrees two-theta):
d = 8.324 Å, 2θ 10.63, I 39.9, (2 0 0); d = 6.146 Å, 2θ 14.41, I 100.0, (0 2 0); d = 5.058 Å, 2θ 17.53, I 36.7, (3 1 0); d = 4.662 Å, 2θ 19.04, I 17.8, (2 0 -1); d = 3.924 Å, 2θ 22.66, I 32.4, (0 2 1); d = 3.483 Å, 2θ 25.58, I 23.7, (4 0 -1); d = 3.405 Å, 2θ 26.17, I 10.5, (2 2 1); d = 3.373 Å, 2θ 26.42, I 16.5, (3 1 1); d = 3.030 Å, 2θ 29.48, I 10.9, (4 2 -1); d = 2.632 Å, 2θ 34.06, I 19.7, (0 4 1)


Calculated X-ray diffraction stick pattern of CrP2O6 for a wavelength of 1.5418 Å, from the PBE+U geometry in the Materials Project.
Lines closer than 0.1° are merged.

```
data_CrP2O6
_cell_length_a 13.036
_cell_length_b 8.374
_cell_length_c 10.049
_cell_angle_alpha 90.00
_cell_angle_beta 119.17
_cell_angle_gamma 90.00
_space_group_name_H-M_alt 'C 1 2/c 1'
_space_group_IT_number 15
loop_
_space_group_symop_operation_xyz
'x,y,z'
'-x,-y,-z'
'-x,y,-z+1/2'
'x,-y,z+1/2'
'x+1/2,y+1/2,z'
'-x+1/2,-y+1/2,-z'
'-x+1/2,y+1/2,-z+1/2'
'x+1/2,-y+1/2,z+1/2'
loop_
_atom_site_label
_atom_site_type_symbol
_atom_site_fract_x
_atom_site_fract_y
_atom_site_fract_z
Cr1 Cr 0.000 0.052 0.250
Cr2 Cr 0.250 0.250 0.500
P1 P 0.011 0.263 0.978
P2 P 0.185 0.498 0.190
O1 O 0.035 0.123 0.907
O2 O 0.035 0.235 0.411
O3 O 0.076 0.384 0.653
O4 O 0.131 0.364 0.058
O5 O 0.223 0.084 0.332
O6 O 0.225 0.428 0.344
```

Main lines, low angle first (10 to 80 degrees two-theta):
d = 6.299 Å, 2θ 14.06, I 44.9, (1 1 -1); d = 4.287 Å, 2θ 20.72, I 40.6, (1 1 -2); d = 3.851 Å, 2θ 23.10, I 27.0, (3 1 -1); d = 3.601 Å, 2θ 24.72, I 34.9, (3 1 -2); d = 3.456 Å, 2θ 25.78, I 50.9, (3 1 0); d = 3.029 Å, 2θ 29.49, I 100.0, (0 2 2); d = 2.978 Å, 2θ 30.01, I 23.9, (3 1 -3); d = 2.846 Å, 2θ 31.44, I 34.5, (4 0 0); d = 2.545 Å, 2θ 35.27, I 27.1, (4 2 -2); d = 2.114 Å, 2θ 42.77, I 22.4, (1 3 -3)


Calculated X-ray diffraction stick pattern of CrPO4 for a wavelength of 1.5418 Å, from the PBE+U geometry in the Materials Project.
Lines closer than 0.1° are merged.

```
data_CrPO4
_cell_length_a 10.590
_cell_length_b 13.175
_cell_length_c 6.406
_cell_angle_alpha 90.00
_cell_angle_beta 90.00
_cell_angle_gamma 90.00
_space_group_name_H-M_alt 'I m m a'
_space_group_IT_number 74
_space_group_name_Hall '-I 2b 2'
loop_
_atom_site_label
_atom_site_type_symbol
_atom_site_fract_x
_atom_site_fract_y
_atom_site_fract_z
Cr1 Cr 0.000 0.000 0.000
Cr2 Cr 0.250 0.133 0.250
P1 P 0.000 0.250 0.086
P2 P 0.250 0.074 0.750
O1 O 0.000 0.151 0.962
O2 O 0.123 0.250 0.229
O3 O 0.139 0.008 0.216
O4 O 0.224 0.136 0.557
```

Main lines, low angle first (10 to 80 degrees two-theta):
d = 6.587 Å, 2θ 13.44, I 21.7, (0 2 0); d = 5.761 Å, 2θ 15.38, I 52.2, (0 1 1); d = 5.481 Å, 2θ 16.17, I 100.0, (1 0 1); d = 5.295 Å, 2θ 16.74, I 55.2, (2 0 0); d = 3.092 Å, 2θ 28.88, I 27.4, (3 0 1); d = 2.797 Å, 2θ 32.00, I 67.2, (2 4 0); d = 2.741 Å, 2θ 32.67, I 62.0, (2 0 2); d = 2.648 Å, 2θ 33.86, I 31.8, (4 0 0); d = 2.214 Å, 2θ 40.76, I 24.1, (2 5 1); d = 1.735 Å, 2θ 52.77, I 24.3, (4 4 2)


Calculated X-ray diffraction stick pattern of CrPO4 for a wavelength of 1.5418 Å, from the PBE+U geometry in the Materials Project.
Lines closer than 0.1° are merged.

```
data_CrPO4
_cell_length_a 5.578
_cell_length_b 11.171
_cell_length_c 9.842
_cell_angle_alpha 90.00
_cell_angle_beta 91.79
_cell_angle_gamma 90.00
_space_group_name_H-M_alt 'P 1 21/c 1'
_space_group_IT_number 14
loop_
_space_group_symop_operation_xyz
'x,y,z'
'-x,-y,-z'
'-x,y+1/2,-z+1/2'
'x,-y+1/2,z+1/2'
loop_
_atom_site_label
_atom_site_type_symbol
_atom_site_fract_x
_atom_site_fract_y
_atom_site_fract_z
Cr1 Cr 0.152 0.122 0.010
Cr2 Cr 0.341 0.597 0.258
P1 P 0.109 0.114 0.336
P2 P 0.405 0.638 0.586
O1 O 0.003 0.157 0.187
O2 O 0.102 0.531 0.127
O3 O 0.131 0.220 0.433
O4 O 0.173 0.558 0.567
O5 O 0.349 0.050 0.318
O6 O 0.353 0.746 0.668
O7 O 0.370 0.067 0.856
O8 O 0.499 0.164 0.063
```

Main lines, low angle first (10 to 80 degrees two-theta):
d = 7.383 Å, 2θ 11.99, I 100.0, (0 1 1); d = 4.857 Å, 2θ 18.27, I 75.6, (0 2 1); d = 4.501 Å, 2θ 19.72, I 35.0, (0 1 2); d = 3.483 Å, 2θ 25.58, I 20.8, (0 3 1); d = 3.454 Å, 2θ 25.79, I 14.1, (1 1 2); d = 3.146 Å, 2θ 28.37, I 14.1, (0 1 3); d = 2.793 Å, 2θ 32.05, I 19.3, (0 4 0); d = 2.776 Å, 2θ 32.25, I 22.9, (1 1 -3); d = 2.705 Å, 2θ 33.12, I 29.8, (2 1 0); d = 2.495 Å, 2θ 36.00, I 21.3, (1 2 3)


Calculated X-ray diffraction stick pattern of CrP2O7 for a wavelength of 1.5418 Å, from the PBE+U geometry in the Materials Project.
Lines closer than 0.1° are merged.

```
data_CrP2O7
_cell_length_a 4.801
_cell_length_b 8.024
_cell_length_c 6.973
_cell_angle_alpha 90.00
_cell_angle_beta 106.28
_cell_angle_gamma 90.00
_space_group_name_H-M_alt 'P 1 21 1'
_space_group_IT_number 4
loop_
_space_group_symop_operation_xyz
'x,y,z'
'-x,y+1/2,-z'
loop_
_atom_site_label
_atom_site_type_symbol
_atom_site_fract_x
_atom_site_fract_y
_atom_site_fract_z
Cr1 Cr 0.220 0.000 0.228
P1 P 0.234 0.734 0.604
P2 P 0.387 0.317 0.008
O1 O 0.028 0.179 0.328
O2 O 0.140 0.833 0.413
O3 O 0.145 0.447 0.961
O4 O 0.279 0.140 0.012
O5 O 0.418 0.826 0.134
O6 O 0.419 0.863 0.770
O7 O 0.430 0.582 0.593
```

Main lines, low angle first (10 to 80 degrees two-theta):
d = 5.140 Å, 2θ 17.25, I 100.0, (0 1 1); d = 3.999 Å, 2θ 22.23, I 28.5, (1 1 0); d = 3.870 Å, 2θ 22.98, I 33.7, (1 1 -1); d = 3.441 Å, 2θ 25.89, I 10.7, (0 2 1); d = 3.379 Å, 2θ 26.38, I 12.9, (1 0 1); d = 3.114 Å, 2θ 28.66, I 21.8, (1 1 1); d = 2.970 Å, 2θ 30.09, I 45.4, (1 2 -1); d = 2.942 Å, 2θ 30.39, I 19.6, (1 1 -2); d = 2.570 Å, 2θ 34.91, I 9.5, (0 2 2); d = 2.305 Å, 2θ 39.08, I 10.6, (1 1 2)